This entry pairs a crystal structure of Cu3GeSe2S2 with its calculated XRD peak list. Radiation: a wavelength of 1.5418 Å. Structure: DFT lattice parameters and positions (GGA-PBE).

Structure:
Unit cell a=6.704 b=6.650 c=5.406 alpha=66.64 beta=65.60 gamma=47.76
Fractional positions:
Cu  0.000  0.000  0.000
Cu  0.227  0.227  0.273
Cu  0.727  0.727  0.773
Ge  0.493  0.493  0.507
Se  0.109  0.618  0.382
Se  0.618  0.109  0.891
S  0.369  0.863  0.631
S  0.863  0.369  0.137

Top 10 peaks for 10 to 90 degrees two-theta, low angle first:
2θ 28.2, I = 98
2θ 28.7, I = 100
2θ 47.0, I = 24
2θ 47.3, I = 90
2θ 48.2, I = 22
2θ 55.7, I = 14
2θ 56.0, I = 40
2θ 56.8, I = 25
2θ 87.5, I = 14
2θ 89.3, I = 14

This entry pairs a crystal structure of Sn2Pt2N3 with its calculated XRD peak list. Radiation: a wavelength of 1.5418 Å. Structure: DFT lattice parameters and positions (GGA-PBE).

Structure:
Unit cell a=3.480 b=3.480 c=21.963 alpha=90.00 beta=90.00 gamma=120.00
Fractional positions:
Sn  0.333  0.667  0.127
Sn  0.333  0.667  0.373
Sn  0.667  0.333  0.627
Sn  0.667  0.333  0.873
Pt  0.000  0.000  0.000
Pt  0.000  0.000  0.500
Pt  0.333  0.667  0.250
Pt  0.667  0.333  0.750
N  0.000  0.000  0.092
N  0.000  0.000  0.408
N  0.000  0.000  0.592
N  0.000  0.000  0.908
N  0.333  0.667  0.750
N  0.667  0.333  0.250

Top 10 peaks for 10 to 90 degrees two-theta, low angle first:
2θ 29.9, I = 100
2θ 30.8, I = 96
2θ 32.6, I = 59
2θ 33.9, I = 29
2θ 38.7, I = 37
2θ 41.6, I = 39
2θ 48.0, I = 31
2θ 51.5, I = 26
2θ 52.6, I = 50
2θ 63.3, I = 54

This entry pairs a crystal structure of GdMgCuTe3 with its calculated XRD peak list. Radiation: a wavelength of 1.5418 Å. Structure: DFT lattice parameters and positions (GGA-PBE).

Structure:
Unit cell a=7.265 b=7.265 c=11.335 alpha=90.00 beta=90.00 gamma=147.00
Fractional positions:
Gd  0.000  0.000  0.000
Gd  0.000  0.000  0.500
Mg  0.227  0.773  0.750
Mg  0.773  0.227  0.250
Cu  0.477  0.523  0.250
Cu  0.523  0.477  0.750
Te  0.100  0.900  0.250
Te  0.349  0.651  0.078
Te  0.349  0.651  0.422
Te  0.651  0.349  0.578
Te  0.651  0.349  0.922
Te  0.900  0.100  0.750

Top 10 peaks for 10 to 90 degrees two-theta, low angle first:
2θ 12.7, I = 36
2θ 23.8, I = 33
2θ 26.8, I = 64
2θ 28.9, I = 34
2θ 30.0, I = 36
2θ 33.1, I = 100
2θ 39.1, I = 23
2θ 42.3, I = 31
2θ 43.9, I = 27
2θ 46.1, I = 26